Record 1
# Pm5Pb4O
Theoretical powder diffraction line list, CuKα. Input: a structure optimized by DFT (GGA-PBE).

The 12 most intense peaks (5° ≤ 2θ ≤ 70°), low angle first:
| h k l | Position (°2θ) | I/Imax |
| --- | --- | --- |
| 0 0 2 | 28.0 | 77 |
| 1 3 0 | 29.4 | 100 |
| 3 0 1 | 31.2 | 69 |
| 3 2 1 | 36.5 | 52 |
| 1 3 2 | 41.0 | 79 |
| 4 2 0 | 42.0 | 22 |
| 4 2 2 | 51.2 | 23 |
| 3 0 3 | 51.6 | 15 |
| 3 2 3 | 55.3 | 15 |
| 1 6 1 | 60.3 | 33 |
| 4 5 1 | 63.6 | 23 |
| 1 3 4 | 66.2 | 18 |

Atomic structure:
a b c (Å): 9.6199 9.6199 6.3768
angles (deg): 90.00 90.00 90.00
Space group I4 (No. 79)
Asymmetric unit:
1 Pm 0.0000 0.0000 0.0000 (multiplicity 2)
2 Pm 0.1083 0.2412 0.4381 (multiplicity 8)
3 Pb 0.0677 0.3260 0.9326 (multiplicity 8)
4 O 0.0000 0.0000 0.3662 (multiplicity 2)



Record 2
# Pm3PbO3
Theoretical powder diffraction line list, CuKα. Input: a structure optimized by DFT (GGA-PBE).

The 12 most intense peaks (5° ≤ 2θ ≤ 70°), low angle first:
| h k l | Position (°2θ) | I/Imax |
| --- | --- | --- |
| 2 0 -4 | 28.6 | 59 |
| 4 0 0 | 28.9 | 58 |
| 3 1 -2 | 30.5 | 100 |
| 1 1 2 | 31.3 | 90 |
| 6 0 -4 | 39.9 | 19 |
| 2 0 4 | 42.3 | 17 |
| 0 2 0 | 47.2 | 20 |
| 5 1 -6 | 51.3 | 19 |
| 7 1 -2 | 51.7 | 21 |
| 5 1 2 | 53.2 | 20 |
| 2 2 -4 | 56.1 | 18 |
| 4 2 0 | 56.3 | 18 |

Atomic structure:
a b c (Å): 14.1829 3.8519 12.5164
angles (deg): 90.00 119.35 90.00
Space group C2/m (No. 12)
Asymmetric unit:
1 Pm 0.1246 0.0000 0.4399 (multiplicity 4)
2 Pm 0.1263 0.0000 0.9022 (multiplicity 4)
3 Pm 0.1556 0.5000 0.2029 (multiplicity 4)
4 Pb 0.1130 0.5000 0.6715 (multiplicity 4)
5 O 0.0610 0.0000 0.1859 (multiplicity 4)
6 O 0.1652 0.5000 0.0159 (multiplicity 4)
7 O 0.1922 0.5000 0.4047 (multiplicity 4)